Diffraction record for Ce2Fe2S5. The powder X-ray diffraction pattern is calculated, not measured: it uses a crystal structure in the Materials Project, relaxed with PBE and Cu Kα X-rays.
Lines closer than 0.1° are merged.

Crystal structure
```
18
Lattice="1.9714 -8.1522 0.0000 1.9714 8.1522 0.0000 0.0000 0.0000 11.0464" Properties=species:S:1:pos:R:3 pbc="T T T"
Ce 1.9714 6.2843 5.5232
Ce 1.9714 6.2510 9.7967
Ce 1.9714 -6.2510 4.2735
Ce 1.9714 -6.2843 0.0000
Fe 1.9714 4.3263 7.6922
Fe 1.9714 1.4856 7.4746
Fe 1.9714 -1.4856 1.9514
Fe 1.9714 -4.3263 2.1690
S 1.9714 7.7216 2.6567
S 1.9714 3.1993 5.7963
S 1.9714 2.9747 9.4342
S 1.9714 2.6763 2.1729
S 1.9714 0.1340 5.3623
S 1.9714 -0.1340 10.8855
S 1.9714 -2.6763 7.6961
S 1.9714 -2.9747 3.9110
S 1.9714 -3.1993 0.2731
S 1.9714 -7.7216 8.1799
```

Main lines, in order of rising 2θ (2θ from 10° to 80°):
| 2θ (°) | I_rel |
| --- | --- |
| 21.8 | 45 |
| 24.6 | 75 |
| 26.6 | 56 |
| 27.2 | 45 |
| 28.3 | 52 |
| 32.4 | 59 |
| 33.8 | 38 |
| 37.3 | 38 |
| 39.4 | 100 |
| 41.3 | 38 |
| 46.0 | 67 |
| 47.5 | 43 |

=====

Diffraction record for Ce2Fe2S5. The powder X-ray diffraction pattern is calculated, not measured: it uses a crystal structure in the Materials Project, relaxed with PBE and Cu Kα X-rays.
Lines closer than 0.1° are merged.

Crystal structure
```
18
Lattice="1.9391 -8.1675 0.0000 1.9391 8.1675 0.0000 0.0000 0.0000 10.9196" Properties=species:S:1:pos:R:3 pbc="T T T"
Ce 1.9391 6.2197 5.4598
Ce 1.9391 6.1866 9.6606
Ce 1.9391 -6.1866 4.2008
Ce 1.9391 -6.2197 0.0000
Fe 1.9391 5.0639 2.1200
Fe 1.9391 1.4779 7.2690
Fe 1.9391 -1.4779 1.8092
Fe 1.9391 -5.0639 7.5798
S 1.9391 7.5751 2.8062
S 1.9391 3.3021 5.8824
S 1.9391 3.2261 9.2261
S 1.9391 2.5311 2.1209
S 1.9391 0.1568 5.3286
S 1.9391 -0.1568 10.7884
S 1.9391 -2.5311 7.5807
S 1.9391 -3.2261 3.7663
S 1.9391 -3.3021 0.4226
S 1.9391 -7.5751 8.2660
```

Main lines, in order of rising 2θ (2θ from 10° to 80°):
| 2θ (°) | I_rel |
| --- | --- |
| 21.8 | 64 |
| 23.6 | 27 |
| 26.8 | 80 |
| 28.8 | 42 |
| 29.4 | 23 |
| 32.8 | 37 |
| 33.9 | 27 |
| 34.2 | 100 |
| 39.7 | 91 |
| 41.4 | 23 |
| 46.9 | 37 |
| 50.8 | 30 |

=====

Diffraction record for CeFeSi2. The powder X-ray diffraction pattern is calculated, not measured: it uses a crystal structure in the Materials Project, relaxed with PBE and Cu Kα X-rays.
Lines closer than 0.1° are merged.

Crystal structure
```
8
Lattice="2.0137 -8.3664 0.0000 2.0137 8.3664 0.0000 0.0000 0.0000 3.9994" Properties=species:S:1:pos:R:3 pbc="T T T"
Ce 2.0137 6.5160 2.9996
Ce 2.0137 -6.5160 0.9999
Fe 2.0137 2.9325 2.9996
Fe 2.0137 -2.9325 0.9999
Si 2.0137 4.1868 0.9999
Si 2.0137 0.6709 2.9996
Si 2.0137 -0.6709 0.9999
Si 2.0137 -4.1868 2.9996
```

Main lines, in order of rising 2θ (2θ from 10° to 80°):
| 2θ (°) | I_rel |
| --- | --- |
| 21.2 | 37 |
| 24.7 | 27 |
| 32.0 | 75 |
| 34.9 | 68 |
| 35.5 | 100 |
| 39.4 | 41 |
| 45.0 | 32 |
| 45.4 | 31 |
| 54.3 | 25 |
| 58.4 | 30 |
| 61.3 | 22 |
| 65.8 | 20 |

=====

Diffraction record for Ce2FeSi3. The powder X-ray diffraction pattern is calculated, not measured: it uses a crystal structure in the Materials Project, relaxed with PBE and Cu Kα X-rays.
Lines closer than 0.1° are merged.

Crystal structure
```
6
Lattice="4.0420 0.0000 0.0000 -2.0210 3.5005 0.0000 0.0000 0.0000 8.1219" Properties=species:S:1:pos:R:3 pbc="T T T"
Ce 0.0000 0.0000 1.9383
Ce 0.0000 0.0000 6.1836
Fe 0.0000 2.3337 0.0000
Si 0.0000 2.3337 4.0610
Si 2.0210 1.1668 0.0000
Si 2.0210 1.1668 4.0610
```

Main lines, in order of rising 2θ (2θ from 10° to 80°):
| 2θ (°) | I_rel |
| --- | --- |
| 21.9 | 6 |
| 25.4 | 36 |
| 33.8 | 100 |
| 44.6 | 11 |
| 44.8 | 33 |
| 50.4 | 5 |
| 52.1 | 9 |
| 52.3 | 5 |
| 57.3 | 21 |
| 65.1 | 20 |
| 75.3 | 8 |
| 75.6 | 19 |

=====

Diffraction record for CeFeSi2. The powder X-ray diffraction pattern is calculated, not measured: it uses a crystal structure in the Materials Project, relaxed with PBE and Cu Kα X-rays.
Lines closer than 0.1° are merged.

Crystal structure
```
8
Lattice="2.0361 -8.2514 0.0000 2.0361 8.2514 0.0000 0.0000 0.0000 4.0224" Properties=species:S:1:pos:R:3 pbc="T T T"
Ce 2.0361 6.4387 3.0168
Ce 2.0361 -6.4387 1.0056
Fe 2.0361 4.1306 1.0056
Fe 2.0361 -4.1306 3.0168
Si 2.0361 3.0582 3.0168
Si 2.0361 0.6016 3.0168
Si 2.0361 -0.6016 1.0056
Si 2.0361 -3.0582 1.0056
```

Main lines, in order of rising 2θ (2θ from 10° to 80°):
| 2θ (°) | I_rel |
| --- | --- |
| 22.5 | 19 |
| 24.6 | 37 |
| 31.7 | 14 |
| 35.0 | 41 |
| 35.4 | 100 |
| 39.7 | 27 |
| 44.5 | 24 |
| 45.1 | 22 |
| 58.3 | 18 |
| 61.1 | 15 |
| 65.2 | 15 |
| 70.9 | 16 |

=====

Diffraction record for CeFe2Si2. The powder X-ray diffraction pattern is calculated, not measured: it uses a crystal structure in the Materials Project, relaxed with PBE and Cu Kα X-rays.
Lines closer than 0.1° are merged.

Crystal structure
```
5
Lattice="-2.0058 2.0058 4.7599 2.0058 -2.0058 4.7599 2.0058 2.0058 -4.7599" Properties=species:S:1:pos:R:3 pbc="T T T"
Ce 0.0000 0.0000 0.0000
Fe 2.0058 0.0000 2.3799
Fe 0.0000 2.0058 2.3799
Si 0.0000 0.0000 3.4657
Si 0.0000 0.0000 6.0540
```

Main lines, in order of rising 2θ (2θ from 10° to 80°):
| 2θ (°) | I_rel |
| --- | --- |
| 24.1 | 49 |
| 36.1 | 60 |
| 36.9 | 100 |
| 37.8 | 15 |
| 45.2 | 44 |
| 51.9 | 13 |
| 53.3 | 15 |
| 59.2 | 28 |
| 60.4 | 15 |
| 65.9 | 14 |
| 67.7 | 20 |
| 77.9 | 21 |

=====

Diffraction record for Ce3Ti6Fe23. The powder X-ray diffraction pattern is calculated, not measured: it uses a crystal structure in the Materials Project, relaxed with PBE and Cu Kα X-rays.
Lines closer than 0.1° are merged.

Crystal structure
```
32
Lattice="4.9210 -4.3188 0.0000 4.9210 4.3188 0.0000 -1.0467 0.0000 10.5252" Properties=species:S:1:pos:R:3 pbc="T T T"
Ce 0.0000 0.0000 0.0000
Ce 1.0717 0.0000 6.2441
Ce 7.7237 0.0000 4.2811
Ti 2.6295 0.0000 1.4592
Ti 4.9210 1.3331 0.0000
Ti 3.8475 0.0000 7.7598
Ti 4.9479 0.0000 2.7654
Ti 4.9210 -1.3331 0.0000
Ti 6.1658 0.0000 9.0660
Fe 2.4605 2.1594 0.0000
Fe 0.6055 0.0000 3.1141
Fe 2.5323 2.1477 8.3826
Fe 3.8191 2.4432 2.1165
Fe 2.6993 1.2563 4.0079
Fe 3.6711 2.1682 6.2394
Fe 1.7379 0.0000 9.3371
Fe 4.9763 2.4432 8.4087
Fe 5.1243 2.1682 4.2858
Fe 6.2631 2.1477 2.1426
Fe 2.6993 -1.2563 4.0079
Fe 2.4605 -2.1594 0.0000
Fe 4.3977 0.0000 5.2626
Fe 6.0961 1.2563 6.5173
Fe 2.5323 -2.1477 8.3826
Fe 3.6711 -2.1682 6.2394
Fe 3.8191 -2.4432 2.1165
Fe 7.0574 0.0000 1.1881
Fe 5.1243 -2.1682 4.2858
Fe 6.0961 -1.2563 6.5173
Fe 4.9763 -2.4432 8.4087
Fe 6.2631 -2.1477 2.1426
Fe 8.1899 0.0000 7.4111
```

Main lines, in order of rising 2θ (2θ from 10° to 80°):
| 2θ (°) | I_rel |
| --- | --- |
| 29.7 | 21 |
| 36.3 | 25 |
| 37.2 | 15 |
| 39.1 | 23 |
| 41.8 | 31 |
| 42.2 | 100 |
| 42.6 | 14 |
| 42.8 | 40 |
| 42.9 | 36 |
| 48.1 | 27 |
| 60.9 | 11 |
| 77.1 | 16 |

=====

Diffraction record for CeTiFe11. The powder X-ray diffraction pattern is calculated, not measured: it uses a crystal structure in the Materials Project, relaxed with PBE and Cu Kα X-rays.
Lines closer than 0.1° are merged.

Crystal structure
```
13
Lattice="-2.3366 4.3193 4.2622 2.3366 -4.3193 4.2622 2.3366 4.3193 -4.2622" Properties=species:S:1:pos:R:3 pbc="T T T"
Ce 0.0000 0.0000 0.0000
Ti 0.0000 0.0000 3.2162
Fe 1.1703 2.1571 -2.0775
Fe 3.5029 2.1571 -2.0774
Fe 2.3366 1.9250 0.0646
Fe 2.3366 0.0000 1.9993
Fe 0.0000 3.0909 0.0448
Fe -1.1663 2.1622 2.1847
Fe 1.1663 2.1622 2.1847
Fe 0.0000 5.5477 0.0448
Fe 0.0000 0.0000 5.5570
Fe 0.0000 4.3193 2.3349
Fe 0.0000 2.3943 4.3267
```

Main lines, in order of rising 2θ (2θ from 10° to 80°):
| 2θ (°) | I_rel |
| --- | --- |
| 30.1 | 34 |
| 30.2 | 33 |
| 36.7 | 41 |
| 37.0 | 35 |
| 38.5 | 28 |
| 41.8 | 56 |
| 42.4 | 60 |
| 42.5 | 100 |
| 42.7 | 79 |
| 44.1 | 60 |
| 44.2 | 64 |
| 49.2 | 52 |

=====

Diffraction record for CeYFe4. The powder X-ray diffraction pattern is calculated, not measured: it uses a crystal structure in the Materials Project, relaxed with PBE and Cu Kα X-rays.
Lines closer than 0.1° are merged.

Crystal structure
```
6
Lattice="0.0000 3.6498 3.6498 3.6498 0.0000 3.6498 3.6498 3.6498 0.0000" Properties=species:S:1:pos:R:3 pbc="T T T"
Ce 0.0000 0.0000 0.0000
Y 1.8249 1.8249 1.8249
Fe 4.5666 2.7331 2.7331
Fe 2.7331 4.5666 2.7331
Fe 2.7331 2.7331 4.5666
Fe 4.5666 4.5666 4.5666
```

Main lines, in order of rising 2θ (2θ from 10° to 80°):
| 2θ (°) | I_rel |
| --- | --- |
| 21.1 | 7 |
| 24.4 | 3 |
| 34.8 | 53 |
| 41.0 | 100 |
| 42.9 | 21 |
| 54.8 | 2 |
| 56.4 | 1 |
| 62.3 | 19 |
| 66.6 | 30 |
| 73.4 | 22 |
| 77.3 | 2 |
| 78.6 | 1 |

=====

Diffraction record for CeYFe17. The powder X-ray diffraction pattern is calculated, not measured: it uses a crystal structure in the Materials Project, relaxed with PBE and Cu Kα X-rays.
Lines closer than 0.1° are merged.

Crystal structure
```
19
Lattice="4.2399 2.4479 4.1676 -4.2399 2.4479 4.1676 0.0000 -4.8959 4.1676" Properties=species:S:1:pos:R:3 pbc="T T T"
Ce 0.0000 0.0000 0.0000
Y 0.0000 0.0000 8.5448
Fe -1.2406 -2.1518 4.2903
Fe -2.4838 0.0015 4.2903
Fe -2.1217 -1.2250 6.4996
Fe 0.0000 0.0000 3.0723
Fe 1.2406 -2.1518 4.2903
Fe -1.2432 2.1503 4.2903
Fe 0.0000 -2.4399 6.3813
Fe -2.1130 1.2200 6.3813
Fe 0.0000 0.0000 5.4964
Fe -2.1222 -1.2252 10.4039
Fe 2.4838 0.0015 4.2903
Fe 1.2432 2.1503 4.2903
Fe 2.1217 -1.2250 6.4996
Fe 0.0000 2.4500 6.4996
Fe 2.1130 1.2200 6.3813
Fe 2.1222 -1.2252 10.4039
Fe 0.0000 2.4505 10.4039
```

Main lines, in order of rising 2θ (2θ from 10° to 80°):
| 2θ (°) | I_rel |
| --- | --- |
| 30.1 | 27 |
| 36.7 | 38 |
| 37.8 | 27 |
| 42.6 | 62 |
| 42.8 | 100 |
| 43.4 | 35 |
| 43.6 | 16 |
| 43.8 | 15 |
| 48.2 | 35 |
| 62.5 | 16 |
| 78.1 | 17 |
| 79.3 | 18 |

=====

Diffraction record for CeYFe17. The powder X-ray diffraction pattern is calculated, not measured: it uses a crystal structure in the Materials Project, relaxed with PBE and Cu Kα X-rays.
Lines closer than 0.1° are merged.

Crystal structure
```
38
Lattice="8.4863 0.0000 0.0000 -4.2431 7.3493 0.0000 0.0000 0.0000 8.3102" Properties=species:S:1:pos:R:3 pbc="T T T"
Ce 0.0000 4.8996 2.0775
Ce 4.2431 2.4498 6.2326
Y 0.0000 0.0000 2.0775
Y 0.0000 0.0000 6.2326
Fe -2.1216 3.6747 0.0000
Fe -2.1216 3.6747 4.1551
Fe -1.2342 2.7029 6.2326
Fe -2.5195 4.9290 6.2326
Fe 0.0000 2.4359 0.1104
Fe 0.0000 2.4359 4.0447
Fe -2.1336 6.1314 0.1104
Fe -2.1336 6.1314 4.0447
Fe 1.2342 2.7029 6.2326
Fe -1.2852 7.0668 6.2326
Fe 2.1096 1.2180 4.2655
Fe 2.1096 1.2180 8.1998
Fe 0.0000 4.8996 5.0411
Fe 0.0000 4.8996 7.4242
Fe 2.9579 0.2826 2.0775
Fe 1.7237 2.4203 2.0775
Fe 4.2431 0.0000 0.0000
Fe 4.2431 0.0000 4.1551
Fe 2.1216 3.6747 0.0000
Fe 2.1216 3.6747 4.1551
Fe 2.5195 4.9290 6.2326
Fe 1.2852 7.0668 6.2326
Fe 4.2431 2.4498 0.8860
Fe 4.2431 2.4498 3.2691
Fe 2.1336 6.1314 0.1104
Fe 2.1336 6.1314 4.0447
Fe 5.5284 0.2826 2.0775
Fe 3.0089 4.6464 2.0775
Fe 6.3767 1.2180 4.2655
Fe 6.3767 1.2180 8.1998
Fe 4.2431 4.9134 4.2655
Fe 4.2431 4.9134 8.1998
Fe 6.7626 2.4203 2.0775
Fe 5.4774 4.6464 2.0775
```

Main lines, in order of rising 2θ (2θ from 10° to 80°):
| 2θ (°) | I_rel |
| --- | --- |
| 30.1 | 26 |
| 36.7 | 38 |
| 40.8 | 33 |
| 42.6 | 59 |
| 42.9 | 100 |
| 43.6 | 34 |
| 46.3 | 17 |
| 48.2 | 33 |
| 62.6 | 16 |
| 70.3 | 15 |
| 78.0 | 18 |
| 79.5 | 18 |

=====

Diffraction record for CeZn2Fe. The powder X-ray diffraction pattern is calculated, not measured: it uses a crystal structure in the Materials Project, relaxed with PBE and Cu Kα X-rays.
Lines closer than 0.1° are merged.

Crystal structure
```
4
Lattice="3.6828 0.0000 0.0000 0.0000 3.6828 0.0000 0.0000 0.0000 5.0356" Properties=species:S:1:pos:R:3 pbc="T T T"
Ce 0.0000 0.0000 0.0000
Zn 0.0000 1.8414 2.5178
Zn 1.8414 0.0000 2.5178
Fe 1.8414 1.8414 0.0000
```

Main lines, in order of rising 2θ (2θ from 10° to 80°):
| 2θ (°) | I_rel |
| --- | --- |
| 17.6 | 5 |
| 24.2 | 9 |
| 30.1 | 11 |
| 35.7 | 32 |
| 38.9 | 100 |
| 43.5 | 4 |
| 49.5 | 25 |
| 59.0 | 4 |
| 62.5 | 24 |
| 66.2 | 20 |
| 72.6 | 7 |
| 75.5 | 3 |